Diffraction record for Y2IrOs3. The powder diffractogram is computed, not measured: it uses the PBE geometry in Alexandria and Cu Kα (λ = 1.5418 Å).
Kinematic intensities with the Lorentz-polarization factor, no thermal factor.

Cell and atoms:
Unit cell a=5.2677 b=5.2677 c=13.6252 alpha=90.00 beta=90.00 gamma=120.00
Space group R-3m (No. 166, hexagonal axes)
Symmetry-distinct sites (fractional):
Y1 0.0000 0.0000 0.1231 (multiplicity 6)
Ir1 0.0000 0.0000 0.5000 (multiplicity 3)
Os1 0.0000 0.5000 0.0000 (multiplicity 9)

Principal peaks in the range 15° ≤ 2θ ≤ 90°, low angle first:
2θ (°), intensity
20.53, 62.0
38.48, 56.6
39.55, 100.0
39.69, 36.0
40.08, 48.4
41.76, 98.2
48.00, 38.0
63.89, 25.7
68.79, 34.2
71.66, 30.4